Record 1
The following is a calculated powder diffractogram of NiPbO3. It was derived from a structure optimized by DFT (PBE+U), using CuKα.
Neutral-atom scattering factors, no anomalous dispersion.

Peak list (11 most intense, 2θ = 10–90°, in order of falling intensity)
Position (°2θ)  d (Å)  I (rel.)
33.3  2.694  100.0
59.4  1.556  39.1
47.7  1.905  28.2
23.3  3.811  26.5
41.0  2.200  20.8
79.5  1.205  17.4
69.8  1.347  17.2
53.8  1.704  13.6
84.3  1.149  7.8
74.7  1.270  7.3
89.0  1.100  6.2

Structural model:
```
NiPbO3
1.0
3.811 0.000 0.000
0.000 3.811 0.000
0.000 0.000 3.811
Ni Pb O
1 1 3
Direct
0.000 0.000 0.000
0.500 0.500 0.500
0.000 0.000 0.500
0.000 0.500 0.000
0.500 0.000 0.000
```

***

Record 2
The following is a calculated powder diffractogram of ReNiPb2O6. It was derived from a structure optimized by DFT (PBE+U), using CuKα.
Neutral-atom scattering factors, no anomalous dispersion.

Peak list (12 most intense, 2θ = 10–90°, in order of falling intensity)
Position (°2θ)  d (Å)  I (rel.)
31.5  2.840  100.0
56.1  1.640  40.7
45.1  2.008  27.0
74.7  1.270  18.0
65.8  1.420  17.0
19.1  4.638  8.7
38.8  2.319  6.5
83.4  1.159  5.9
37.1  2.422  4.5
22.1  4.016  4.3
50.8  1.796  2.6
79.1  1.211  2.2

Structural model:
```
ReNiPb2O6
1.0
0.000 4.016 4.016
4.016 0.000 4.016
4.016 4.016 0.000
Re Ni Pb O
1 1 2 6
Direct
0.000 0.000 0.000
0.500 0.500 0.500
0.250 0.250 0.250
0.750 0.750 0.750
0.241 0.241 0.759
0.241 0.759 0.241
0.241 0.759 0.759
0.759 0.241 0.241
0.759 0.241 0.759
0.759 0.759 0.241
```

***

Record 3
The following is a calculated powder diffractogram of V2Ni2PbO8. It was derived from a structure optimized by DFT (PBE+U), using CuKα.
Neutral-atom scattering factors, no anomalous dispersion.

Peak list (12 most intense, 2θ = 10–90°, in order of falling intensity)
Position (°2θ)  d (Å)  I (rel.)
31.0  2.882  100.0
32.2  2.780  55.5
23.3  3.817  51.7
20.2  4.395  36.1
47.8  1.904  30.6
31.5  2.841  24.4
42.8  2.113  22.3
43.7  2.072  21.6
14.2  6.216  21.3
56.7  1.624  21.0
37.3  2.410  20.9
60.8  1.524  17.5

Structural model:
```
V2Ni2PbO8
1.0
-6.216 6.216 4.237
6.216 -6.216 4.237
6.216 6.216 -4.237
V Ni Pb O
8 8 4 32
Direct
0.170 0.512 0.181
0.238 0.080 0.319
0.262 0.580 0.842
0.330 0.988 0.819
0.670 0.488 0.658
0.738 0.420 0.158
0.762 0.920 0.681
0.830 0.012 0.342
0.047 0.709 0.995
0.214 0.209 0.662
0.302 0.464 0.505
0.459 0.964 0.162
0.547 0.552 0.338
0.714 0.052 0.005
0.802 0.297 0.838
0.959 0.797 0.495
0.206 0.206 0.000
0.456 0.956 0.500
0.706 0.706 0.000
0.956 0.456 0.500
0.050 0.217 0.493
0.050 0.898 0.143
0.053 0.528 0.840
0.148 0.800 0.643
0.157 0.505 0.357
0.188 0.028 0.475
0.224 0.717 0.166
0.255 0.398 0.848
0.275 0.599 0.672
0.278 0.938 0.975
0.308 0.300 0.334
0.349 0.177 0.824
0.354 0.525 0.176
0.427 0.099 0.324
0.463 0.438 0.660
0.467 0.800 0.993
0.550 0.058 0.834
0.550 0.407 0.152
0.553 0.713 0.525
0.648 0.005 0.348
0.657 0.300 0.652
0.688 0.213 0.160
0.724 0.558 0.507
0.755 0.907 0.857
0.775 0.104 0.676
0.778 0.803 0.340
0.808 0.474 0.007
0.849 0.025 0.172
0.854 0.677 0.828
0.927 0.604 0.328
0.963 0.303 0.025
0.967 0.974 0.666
```